1.
Theoretical powder X-ray diffraction pattern of AlNi28 for λ = 1.5418 Å (Cu Kα), from a PBE-relaxed structure.
Lines closer than 0.1° are merged.

Structural model:
```
data_AlNi28
_chemical_formula_sum 'Al1 Ni28'
_symmetry_space_group_name_H-M 'P 1'
_symmetry_Int_Tables_number 1
_cell_length_a 7.453
_cell_length_b 7.453
_cell_length_c 7.453
_cell_angle_alpha 109.47
_cell_angle_beta 109.47
_cell_angle_gamma 109.47
loop_
_symmetry_equiv_pos_as_xyz
'x,y,z'
loop_
_atom_site_label
_atom_site_fract_x
_atom_site_fract_y
_atom_site_fract_z
_atom_site_occupancy
Al1 0.000 0.000 0.000 1
Ni1 0.000 0.000 0.646 1
Ni2 0.000 0.190 0.377 1
Ni3 0.000 0.377 0.190 1
Ni4 0.000 0.409 0.686 1
Ni5 0.000 0.646 0.000 1
Ni6 0.000 0.686 0.409 1
Ni7 0.186 0.810 0.810 1
Ni8 0.190 0.000 0.377 1
Ni9 0.190 0.377 0.000 1
Ni10 0.277 0.591 0.591 1
Ni11 0.314 0.314 0.723 1
Ni12 0.314 0.723 0.314 1
Ni13 0.354 0.354 0.354 1
Ni14 0.377 0.000 0.190 1
Ni15 0.377 0.190 0.000 1
Ni16 0.409 0.000 0.686 1
Ni17 0.409 0.686 0.000 1
Ni18 0.591 0.277 0.591 1
Ni19 0.591 0.591 0.277 1
Ni20 0.623 0.623 0.814 1
Ni21 0.623 0.814 0.623 1
Ni22 0.646 0.000 0.000 1
Ni23 0.686 0.000 0.409 1
Ni24 0.686 0.409 0.000 1
Ni25 0.723 0.314 0.314 1
Ni26 0.810 0.186 0.810 1
Ni27 0.810 0.810 0.186 1
Ni28 0.814 0.623 0.623 1
```

The 10 most intense peaks (10° ≤ 2θ ≤ 80°), by angle:
d = 3.513 Å, rel. 2; d = 2.151 Å, rel. 12; d = 2.028 Å, rel. 100; d = 1.835 Å, rel. 32; d = 1.757 Å, rel. 10; d = 1.688 Å, rel. 20; d = 1.328 Å, rel. 2; d = 1.297 Å, rel. 2; d = 1.242 Å, rel. 4; d = 1.217 Å, rel. 8

2.
Theoretical powder X-ray diffraction pattern of DyHoTm2 for λ = 1.5418 Å (Cu Kα), from a PBE-relaxed structure.
Lines closer than 0.1° are merged.

Structural model:
```
data_DyHoTm2
_chemical_formula_sum 'Dy2 Ho2 Tm4'
_symmetry_space_group_name_H-M 'P 1'
_symmetry_Int_Tables_number 1
_cell_length_a 7.148
_cell_length_b 7.148
_cell_length_c 5.544
_cell_angle_alpha 90.00
_cell_angle_beta 90.00
_cell_angle_gamma 120.00
loop_
_symmetry_equiv_pos_as_xyz
'x,y,z'
loop_
_atom_site_label
_atom_site_fract_x
_atom_site_fract_y
_atom_site_fract_z
_atom_site_occupancy
Dy1 0.167 0.833 0.750 1
Dy2 0.833 0.167 0.250 1
Ho1 0.334 0.666 0.250 1
Ho2 0.666 0.334 0.750 1
Tm1 0.167 0.333 0.750 1
Tm2 0.333 0.167 0.250 1
Tm3 0.667 0.833 0.750 1
Tm4 0.833 0.667 0.250 1
```

The 10 most intense peaks (10° ≤ 2θ ≤ 80°), by angle:
d = 3.095 Å, rel. 24; d = 2.772 Å, rel. 24; d = 2.703 Å, rel. 100; d = 2.065 Å, rel. 15; d = 1.787 Å, rel. 20; d = 1.587 Å, rel. 20; d = 1.502 Å, rel. 22; d = 1.491 Å, rel. 16; d = 1.351 Å, rel. 4; d = 1.265 Å, rel. 3

3.
Theoretical powder X-ray diffraction pattern of YHoB2Pd2C2 for λ = 1.5418 Å (Cu Kα), from a PBE-relaxed structure.
Lines closer than 0.1° are merged.

Structural model:
```
data_YHoB2Pd2C2
_chemical_formula_sum 'Y1 Ho1 B2 Pd2 C2'
_symmetry_space_group_name_H-M 'P 1'
_symmetry_Int_Tables_number 1
_cell_length_a 3.751
_cell_length_b 3.751
_cell_length_c 7.763
_cell_angle_alpha 90.00
_cell_angle_beta 90.00
_cell_angle_gamma 90.00
loop_
_symmetry_equiv_pos_as_xyz
'x,y,z'
loop_
_atom_site_label
_atom_site_fract_x
_atom_site_fract_y
_atom_site_fract_z
_atom_site_occupancy
Y1 0.000 0.000 0.000 1
Ho1 0.500 0.500 0.683 1
B1 0.000 0.000 0.502 1
B2 0.500 0.500 0.179 1
Pd1 0.000 0.500 0.342 1
Pd2 0.500 0.000 0.342 1
C1 0.000 0.000 0.693 1
C2 0.500 0.500 0.989 1
```

The 10 most intense peaks (10° ≤ 2θ ≤ 80°), by angle:
d = 7.763 Å, rel. 27; d = 3.378 Å, rel. 56; d = 2.697 Å, rel. 48; d = 2.588 Å, rel. 46; d = 2.510 Å, rel. 100; d = 2.190 Å, rel. 59; d = 1.876 Å, rel. 40; d = 1.566 Å, rel. 29; d = 1.540 Å, rel. 18; d = 1.519 Å, rel. 35

4.
Theoretical powder X-ray diffraction pattern of PmH for λ = 1.5418 Å (Cu Kα), from a PBE-relaxed structure.
Lines closer than 0.1° are merged.

Structural model:
```
data_PmH
_chemical_formula_sum 'Pm1 H1'
_symmetry_space_group_name_H-M 'P 1'
_symmetry_Int_Tables_number 1
_cell_length_a 3.802
_cell_length_b 3.802
_cell_length_c 3.802
_cell_angle_alpha 60.00
_cell_angle_beta 60.00
_cell_angle_gamma 60.00
loop_
_symmetry_equiv_pos_as_xyz
'x,y,z'
loop_
_atom_site_label
_atom_site_fract_x
_atom_site_fract_y
_atom_site_fract_z
_atom_site_occupancy
Pm1 0.000 0.000 0.000 1
H1 0.250 0.250 0.250 1
```

The 8 most intense peaks (10° ≤ 2θ ≤ 80°), by angle:
d = 3.104 Å, rel. 100; d = 2.688 Å, rel. 50; d = 1.901 Å, rel. 38; d = 1.621 Å, rel. 44; d = 1.552 Å, rel. 13; d = 1.344 Å, rel. 6; d = 1.234 Å, rel. 18; d = 1.202 Å, rel. 16

> What is the formula in the first record?

AlNi28